Starting from a structure optimized by DFT (GGA-PBE), the powder diffraction line list of Rb4PaO5 was computed for copper Kα.
Lines closer than 0.1° are merged.

Peak list (10 most intense, 5° ≤ 2θ ≤ 70°, by angle)
| 2θ/deg | I/Imax | h k l |
| --- | --- | --- |
| 14.06 | 25.0 | 1 1 0 |
| 18.48 | 25.2 | 1 0 1 |
| 27.31 | 100.0 | 1 2 1 |
| 31.38 | 26.0 | 0 0 2 |
| 31.77 | 49.1 | 3 1 0 |
| 45.26 | 33.8 | 3 1 2 |
| 45.54 | 17.8 | 2 4 0 |
| 53.42 | 17.1 | 1 2 3 |
| 53.92 | 36.3 | 5 0 1 |
| 56.35 | 17.5 | 2 4 2 |

Crystal structure
a b c (Å): 8.9073 8.9073 5.7008
angles (deg): 90.00 90.00 90.00
Space group I4 (No. 79)
Inequivalent atoms, fractional coordinates:
Rb  0.1046  0.7024  0.0000 (multiplicity 8)
Pa  0.0000  0.0000  0.5278 (multiplicity 2)
O  0.0000  0.0000  0.9033 (multiplicity 2)
O  0.0714  0.7761  0.4949 (multiplicity 8)